Record 1
# RbHgPbAu2
Calculated powder XRD pattern, CuKα. Input: the PBE geometry in Alexandria.

The 10 most intense peaks (15 to 90 degrees two-theta), low angle first:
19.02°, d 4.666, rel. 20; 21.28°, d 4.175, rel. 20; 30.29°, d 2.951, rel. 100; 35.99°, d 2.496, rel. 38; 38.64°, d 2.330, rel. 77; 38.70°, d 2.327, rel. 24; 41.00°, d 2.201, rel. 27; 55.68°, d 1.651, rel. 23; 57.63°, d 1.599, rel. 18; 66.47°, d 1.407, rel. 20

Cell and atoms:
a b c (Å): 4.403 4.991 13.151
angles (deg): 90.00 90.00 90.00
Positions (direct):
Rb  0.000  0.000  0.000
Rb  0.500  0.500  0.500
Hg  0.000  0.000  0.615
Hg  0.500  0.500  0.115
Pb  0.000  0.500  0.760
Pb  0.500  0.000  0.260
Au  0.000  0.000  0.400
Au  0.000  0.500  0.272
Au  0.500  0.000  0.772
Au  0.500  0.500  0.900

---

Record 2
# La3HfN4
Calculated powder XRD pattern, CuKα. Input: the PBE geometry in Alexandria.

The 10 most intense peaks (15 to 90 degrees two-theta), low angle first:
25.76°, d 3.458, rel. 35; 30.13°, d 2.966, rel. 100; 31.00°, d 2.885, rel. 26; 40.73°, d 2.215, rel. 19; 45.43°, d 1.996, rel. 29; 54.61°, d 1.681, rel. 22; 55.45°, d 1.657, rel. 13; 55.96°, d 1.643, rel. 10; 56.05°, d 1.641, rel. 19; 74.48°, d 1.274, rel. 11

Cell and atoms:
a b c (Å): 7.996 6.907 5.769
angles (deg): 90.00 90.00 90.00
Positions (direct):
La  0.000  0.162  0.000
La  0.248  0.667  0.998
La  0.252  0.333  0.498
La  0.500  0.838  0.500
La  0.748  0.333  0.498
La  0.752  0.667  0.998
Hf  0.000  0.833  0.483
Hf  0.500  0.167  0.983
N  0.000  0.131  0.563
N  0.000  0.839  0.128
N  0.221  0.686  0.564
N  0.279  0.314  0.064
N  0.500  0.161  0.628
N  0.500  0.869  0.063
N  0.721  0.314  0.064
N  0.779  0.686  0.564

---

Record 3
# BiS2
Calculated powder XRD pattern, CuKα. Input: the PBE geometry in Alexandria.

The 10 most intense peaks (15 to 90 degrees two-theta), low angle first:
23.39°, d 3.803, rel. 50; 23.51°, d 3.784, rel. 100; 23.62°, d 3.766, rel. 50; 24.37°, d 3.653, rel. 39; 34.73°, d 2.583, rel. 66; 40.65°, d 2.219, rel. 42; 40.93°, d 2.205, rel. 42; 42.27°, d 2.138, rel. 45; 42.47°, d 2.128, rel. 44; 49.94°, d 1.826, rel. 23

Cell and atoms:
a b c (Å): 7.553 5.166 7.626
angles (deg): 90.00 94.21 90.00
Positions (direct):
Bi  0.000  0.249  0.250
Bi  0.000  0.751  0.750
Bi  0.500  0.251  0.750
Bi  0.500  0.749  0.250
S  0.125  0.250  0.625
S  0.125  0.750  0.125
S  0.375  0.250  0.375
S  0.375  0.750  0.875
S  0.625  0.250  0.125
S  0.625  0.750  0.625
S  0.875  0.250  0.875
S  0.875  0.750  0.375

---

Record 4
# MnAsSeBr2
Calculated powder XRD pattern, CuKα. Input: the PBE geometry in Alexandria.

The 10 most intense peaks (15 to 90 degrees two-theta), low angle first:
32.41°, d 2.762, rel. 100; 36.31°, d 2.474, rel. 37; 38.23°, d 2.354, rel. 64; 53.75°, d 1.706, rel. 46; 55.17°, d 1.665, rel. 21; 62.88°, d 1.478, rel. 15; 65.46°, d 1.426, rel. 26; 67.86°, d 1.381, rel. 23; 88.46°, d 1.105, rel. 12; 89.49°, d 1.095, rel. 11

Cell and atoms:
a b c (Å): 4.708 4.708 4.948
angles (deg): 90.00 90.00 90.00
Positions (direct):
Mn  0.000  0.000  0.000
As  0.000  0.000  0.500
Se  0.500  0.500  0.500
Br  0.000  0.500  0.000
Br  0.500  0.000  0.000

---

Record 5
# Ac2Y6Er
Calculated powder XRD pattern, CuKα. Input: the PBE geometry in Alexandria.

The 10 most intense peaks (15 to 90 degrees two-theta), low angle first:
26.06°, d 3.419, rel. 37; 26.56°, d 3.356, rel. 45; 30.43°, d 2.937, rel. 49; 30.55°, d 2.926, rel. 95; 30.78°, d 2.905, rel. 93; 31.04°, d 2.881, rel. 100; 32.15°, d 2.784, rel. 87; 32.25°, d 2.776, rel. 34; 36.64°, d 2.453, rel. 74; 52.48°, d 1.744, rel. 39

Cell and atoms:
a b c (Å): 8.818 3.642 10.142
angles (deg): 90.00 101.53 90.00
Positions (direct):
Ac  0.193  0.000  0.460
Ac  0.807  0.000  0.540
Y  0.126  0.500  0.785
Y  0.183  0.000  0.098
Y  0.484  0.500  0.323
Y  0.516  0.500  0.677
Y  0.817  0.000  0.902
Y  0.874  0.500  0.215
Er  0.500  0.500  0.000

---

Record 6
# Ce2AlNi5
Calculated powder XRD pattern, CuKα. Input: the PBE geometry in Alexandria.

The 10 most intense peaks (15 to 90 degrees two-theta), low angle first:
21.44°, d 4.144, rel. 21; 31.98°, d 2.798, rel. 35; 38.83°, d 2.319, rel. 100; 43.68°, d 2.072, rel. 37; 47.96°, d 1.897, rel. 15; 63.49°, d 1.465, rel. 10; 66.87°, d 1.399, rel. 18; 76.97°, d 1.239, rel. 17; 83.20°, d 1.161, rel. 10; 83.36°, d 1.159, rel. 10

Cell and atoms:
a b c (Å): 5.861 5.861 7.588
angles (deg): 90.00 90.00 90.00
Positions (direct):
Ce  0.000  0.500  0.000
Ce  0.000  0.500  0.500
Ce  0.500  0.000  0.000
Ce  0.500  0.000  0.500
Al  0.000  0.000  0.200
Al  0.500  0.500  0.700
Ni  0.000  0.000  0.522
Ni  0.211  0.211  0.761
Ni  0.211  0.789  0.761
Ni  0.289  0.289  0.261
Ni  0.289  0.711  0.261
Ni  0.500  0.500  0.022
Ni  0.711  0.289  0.261
Ni  0.711  0.711  0.261
Ni  0.789  0.211  0.761
Ni  0.789  0.789  0.761

---

Record 7
# Ac2SiPd3
Calculated powder XRD pattern, CuKα. Input: the PBE geometry in Alexandria.

The 10 most intense peaks (15 to 90 degrees two-theta), low angle first:
22.48°, d 3.955, rel. 13; 23.10°, d 3.850, rel. 18; 31.12°, d 2.874, rel. 46; 31.58°, d 2.833, rel. 100; 39.84°, d 2.263, rel. 39; 40.95°, d 2.204, rel. 20; 43.26°, d 2.091, rel. 17; 51.09°, d 1.788, rel. 13; 52.32°, d 1.749, rel. 22; 60.26°, d 1.536, rel. 23

Cell and atoms:
a b c (Å): 4.183 4.408 7.909
angles (deg): 90.00 90.00 90.00
Positions (direct):
Ac  0.000  0.000  0.000
Ac  0.000  0.500  0.487
Si  0.500  0.500  0.814
Pd  0.500  0.000  0.332
Pd  0.500  0.000  0.681
Pd  0.500  0.500  0.122

---

What is the formula in the second record?
La3HfN4